For Hf2CuPb3, a crystal structure in OQMD, relaxed with PBE gives the theoretical powder diffractogram in this record (λ = 1.5418 Å (Cu Kα)).
Neutral-atom scattering factors, no anomalous dispersion.

The 10 most intense peaks (10° ≤ 2θ ≤ 80°), low angle first:
| d [Å] | I/Imax | (hkl) |
| --- | --- | --- |
| 2.970 | 206 | 1 0 2 |
| 2.550 | 1000 | 1 0 3 |
| 2.483 | 566 | 1 1 0 |
| 2.226 | 78 | 0 0 5 |
| 1.756 | 202 | 2 0 0 |
| 1.657 | 128 | 1 1 5 |
| 1.486 | 105 | 1 1 6 |
| 1.446 | 353 | 2 1 3 |
| 1.379 | 71 | 2 0 5 |
| 1.293 | 93 | 1 0 8 |

Cell and atoms:
Unit cell a=3.5119 b=3.5119 c=11.1288 alpha=90.00 beta=90.00 gamma=90.00
Sites, in units of the cell vectors:
Hf 0.0000 0.0000 0.0000
Hf 0.5000 0.5000 0.4540
Cu 0.0000 0.0000 0.3306
Pb 0.0000 0.0000 0.6266
Pb 0.5000 0.5000 0.1819
Pb 0.5000 0.5000 0.8303